The following is a computed X-ray powder pattern of ErFe6Ge12. It was derived from the GGA-PBE geometry in Alexandria, using copper Kα.
Neutral-atom scattering factors, no anomalous dispersion.

The 10 most intense peaks (2θ = 5–70°), sorted by position:
| Position (°2θ) | Rel. int. |
| --- | --- |
| 20.84 | 11 |
| 33.23 | 11 |
| 36.51 | 21 |
| 39.55 | 100 |
| 42.41 | 15 |
| 45.12 | 15 |
| 54.91 | 15 |
| 63.64 | 12 |
| 65.72 | 10 |
| 67.76 | 24 |

Cell and atoms:
```
data_ErFe6Ge12
_cell_length_a 8.525
_cell_length_b 8.525
_cell_length_c 8.525
_cell_angle_alpha 90.00
_cell_angle_beta 90.00
_cell_angle_gamma 90.00
_space_group_name_H-M_alt 'I m -3'
_space_group_IT_number 204
_space_group_name_Hall '-I 2 2 3'
loop_
_atom_site_label
_atom_site_fract_x
_atom_site_fract_y
_atom_site_fract_z
Er1 0.000 0.000 0.000
Fe1 0.000 0.144 0.500
Ge1 0.000 0.291 0.177
```